Record 1
The following is a calculated XRD peak list of Ag3W. It was derived from a structure optimized by DFT (PBE), using Cu Ka.
Kinematic intensities with the Lorentz-polarization factor, no thermal factor.

Main lines, by angle (15 to 90 degrees two-theta):
2theta  I_rel
23.67  4
27.40  2
39.13  100
46.24  2
56.54  17
62.14  1
63.94  1
70.91  33
84.10  11
88.93  1

Structure:
```
Ag3W
1.0
0.0000 3.2555 3.2555
3.2555 0.0000 3.2555
3.2555 3.2555 0.0000
Ag W
3 1
Direct
0.0000 0.0000 0.0000
0.2500 0.2500 0.2500
0.7500 0.7500 0.7500
0.5000 0.5000 0.5000
```

Record 2
The following is a calculated XRD peak list of YAg3. It was derived from a structure optimized by DFT (PBE), using Cu Ka.
Kinematic intensities with the Lorentz-polarization factor, no thermal factor.

Main lines, by angle (15 to 90 degrees two-theta):
2theta  I_rel
22.61  1
35.58  100
40.64  34
42.63  15
58.83  11
60.36  20
70.68  25
73.46  11
75.33  10
87.99  4

Structure:
```
YAg3
1.0
-2.2197 2.2197 4.2414
2.2197 -2.2197 4.2414
2.2197 2.2197 -4.2414
Y Ag
1 3
Direct
0.0000 0.0000 0.0000
0.2500 0.7500 0.5000
0.5000 0.5000 0.0000
0.7500 0.2500 0.5000
```

Record 3
The following is a calculated XRD peak list of YAg3. It was derived from a structure optimized by DFT (PBE), using Cu Ka.
Kinematic intensities with the Lorentz-polarization factor, no thermal factor.

Main lines, by angle (15 to 90 degrees two-theta):
2theta  I_rel
22.12  1
36.51  100
52.59  17
65.72  33
77.59  10
88.93  15

Structure:
```
YAg3
1.0
0.0000 3.4804 3.4804
3.4804 0.0000 3.4804
3.4804 3.4804 0.0000
Y Ag
1 3
Direct
0.0000 0.0000 0.0000
0.2500 0.2500 0.2500
0.5000 0.5000 0.5000
0.7500 0.7500 0.7500
```

Record 4
The following is a calculated XRD peak list of Zn2Ag. It was derived from a structure optimized by DFT (PBE), using Cu Ka.
Kinematic intensities with the Lorentz-polarization factor, no thermal factor.

Main lines, by angle (15 to 90 degrees two-theta):
2theta  I_rel
35.08  44
38.15  82
41.39  100
42.21  69
43.29  13
64.98  29
67.23  26
70.58  28
74.14  23
86.59  14

Structure:
```
Zn2Ag
1.0
5.1154 0.0000 0.0000
-2.5577 4.4301 0.0000
0.0000 0.0000 8.3593
Zn Ag
8 4
Direct
0.0000 0.0000 0.0000
0.0000 0.0000 0.5000
0.1702 0.3403 0.2500
0.1702 0.8298 0.2500
0.3403 0.1702 0.7500
0.6597 0.8298 0.2500
0.8298 0.1702 0.7500
0.8298 0.6597 0.7500
0.3333 0.6667 0.5617
0.3333 0.6667 0.9383
0.6667 0.3333 0.0617
0.6667 0.3333 0.4383
```

Record 5
The following is a calculated XRD peak list of ZnAg3. It was derived from a structure optimized by DFT (PBE), using Cu Ka.
Kinematic intensities with the Lorentz-polarization factor, no thermal factor.

Main lines, by angle (15 to 90 degrees two-theta):
2theta  I_rel
20.90  1
24.44  3
38.01  100
42.54  18
44.99  30
63.63  20
65.51  9
74.84  13
78.32  22
81.29  10

Structure:
```
ZnAg3
1.0
-2.0151 2.0151 4.2507
2.0151 -2.0151 4.2507
2.0151 2.0151 -4.2507
Zn Ag
1 3
Direct
0.0000 0.0000 0.0000
0.2500 0.7500 0.5000
0.5000 0.5000 0.0000
0.7500 0.2500 0.5000
```

Record 6
The following is a calculated XRD peak list of ZnAg. It was derived from a structure optimized by DFT (PBE), using Cu Ka.
Kinematic intensities with the Lorentz-polarization factor, no thermal factor.

Main lines, by angle (15 to 90 degrees two-theta):
2theta  I_rel
19.62  8
37.79  29
39.85  25
40.00  100
56.08  18
69.73  18
72.45  16
72.76  8
74.11  7
86.33  10

Structure:
```
ZnAg
1.0
1.5513 -2.3804 0.0000
1.5513 2.3804 0.0000
0.0000 0.0000 4.5246
Zn Ag
1 1
Direct
0.0000 0.0000 0.0000
0.5000 0.5000 0.5000
```

Record 7
The following is a calculated XRD peak list of Zn3Ag. It was derived from a structure optimized by DFT (PBE), using Cu Ka.
Kinematic intensities with the Lorentz-polarization factor, no thermal factor.

Main lines, by angle (15 to 90 degrees two-theta):
2theta  I_rel
20.41  2
35.89  27
37.40  3
41.50  22
41.64  100
56.01  14
64.50  17
75.81  15
76.08  3
79.70  31

Structure:
```
Zn3Ag
1.0
2.8893 0.0000 0.0000
-1.4447 2.5022 0.0000
0.0000 0.0000 8.7029
Zn Ag
3 1
Direct
0.0000 0.0000 0.0000
0.6667 0.3333 0.2431
0.6667 0.3333 0.7569
0.0000 0.0000 0.5000
```

Record 8
The following is a calculated XRD peak list of ZnAg. It was derived from a structure optimized by DFT (PBE), using Cu Ka.
Kinematic intensities with the Lorentz-polarization factor, no thermal factor.

Main lines, by angle (15 to 90 degrees two-theta):
2theta  I_rel
38.79  98
38.88  94
39.21  97
40.61  89
40.80  90
41.02  100
41.46  26
57.38  23
57.54  24
72.99  20

Structure:
```
ZnAg
1.0
2.8998 0.0000 0.0000
-0.0893 7.6594 0.0000
-0.0723 -0.1459 13.2686
Zn Ag
9 9
Direct
0.0000 0.0000 0.0000
0.9998 0.0142 0.6938
0.9998 0.5114 0.1911
0.0060 0.8473 0.5069
0.0120 0.3560 0.0084
0.1726 0.8552 0.1753
0.2303 0.3552 0.6786
0.4951 0.3518 0.3432
0.4955 0.8498 0.8469
0.5053 0.1990 0.8510
0.5076 0.7045 0.3437
0.5125 0.6962 0.6623
0.5158 0.1559 0.5242
0.5186 0.1881 0.1567
0.5282 0.6680 0.0243
0.9837 0.5422 0.8386
0.9882 0.0460 0.3375
0.9965 0.4940 0.5013
```

Record 9
The following is a calculated XRD peak list of Zn3Ag. It was derived from a structure optimized by DFT (PBE), using Cu Ka.
Kinematic intensities with the Lorentz-polarization factor, no thermal factor.

Main lines, by angle (15 to 90 degrees two-theta):
2theta  I_rel
27.35  6
35.57  26
41.56  100
42.31  21
56.43  13
63.88  17
75.30  3
76.86  15
79.13  14
79.64  18

Structure:
```
Zn3Ag
1.0
5.8292 0.0000 0.0000
-2.9146 5.0482 0.0000
0.0000 0.0000 4.2721
Zn Ag
6 2
Direct
0.1631 0.3262 0.2500
0.1631 0.8369 0.2500
0.3262 0.1631 0.7500
0.6738 0.8369 0.2500
0.8369 0.1631 0.7500
0.8369 0.6738 0.7500
0.3333 0.6667 0.7500
0.6667 0.3333 0.2500
```

Record 10
The following is a calculated XRD peak list of ZnAg3. It was derived from a structure optimized by DFT (PBE), using Cu Ka.
Kinematic intensities with the Lorentz-polarization factor, no thermal factor.

Main lines, by angle (15 to 90 degrees two-theta):
2theta  I_rel
21.67  3
30.84  3
38.01  100
44.17  48
49.72  1
54.84  1
64.25  30
68.67  1
77.15  34
81.28  10

Structure:
```
ZnAg3
1.0
4.1005 0.0000 0.0000
0.0000 4.1005 0.0000
0.0000 0.0000 4.1005
Zn Ag
1 3
Direct
0.0000 0.0000 0.0000
0.0000 0.5000 0.5000
0.5000 0.0000 0.5000
0.5000 0.5000 0.0000
```

Record 11
The following is a calculated XRD peak list of ZnAg3. It was derived from a structure optimized by DFT (PBE), using Cu Ka.
Kinematic intensities with the Lorentz-polarization factor, no thermal factor.

Main lines, by angle (15 to 90 degrees two-theta):
2theta  I_rel
25.97  4
35.67  24
38.40  26
40.69  100
53.41  14
64.08  16
70.99  18
77.24  19
78.73  13
88.10  3

Structure:
```
ZnAg3
1.0
5.8127 0.0000 0.0000
-2.9064 5.0340 0.0000
0.0000 0.0000 4.6884
Zn Ag
2 6
Direct
0.3333 0.6667 0.2500
0.6667 0.3333 0.7500
0.1687 0.3374 0.7500
0.1687 0.8313 0.7500
0.3374 0.1687 0.2500
0.6626 0.8313 0.7500
0.8313 0.1687 0.2500
0.8313 0.6626 0.2500
```

Record 12
The following is a calculated XRD peak list of ZnAg. It was derived from a structure optimized by DFT (PBE), using Cu Ka.
Kinematic intensities with the Lorentz-polarization factor, no thermal factor.

Main lines, by angle (15 to 90 degrees two-theta):
2theta  I_rel
19.71  7
35.57  28
40.03  23
40.99  100
54.61  16
63.89  16
73.37  16
78.12  18
78.76  13
88.90  4

Structure:
```
ZnAg
1.0
2.9140 0.0000 0.0000
-1.4570 2.5236 0.0000
0.0000 0.0000 4.5050
Zn Ag
1 1
Direct
0.0000 0.0000 0.0000
0.3333 0.6667 0.5000
```

Record 13
The following is a calculated XRD peak list of ZnAg. It was derived from a structure optimized by DFT (PBE), using Cu Ka.
Kinematic intensities with the Lorentz-polarization factor, no thermal factor.

Main lines, by angle (15 to 90 degrees two-theta):
2theta  I_rel
27.96  7
39.95  100
49.47  2
57.78  16
65.39  2
72.56  31
86.20  10

Structure:
```
ZnAg
1.0
3.1912 0.0000 0.0000
0.0000 3.1912 0.0000
0.0000 0.0000 3.1912
Zn Ag
1 1
Direct
0.0000 0.0000 0.0000
0.5000 0.5000 0.5000
```